Computed powder XRD pattern of MgGeO3 for a wavelength of 1.5418 Å, from a DFT-relaxed cell (GGA-PBE, the Materials Project).
Lines closer than 0.1° are merged.

Top 10 peaks for 10° ≤ 2θ ≤ 90°, by angle:
18.7 deg, intensity 69
25.4 deg, intensity 36
31.7 deg, intensity 100
32.8 deg, intensity 47
41.9 deg, intensity 26
42.7 deg, intensity 59
44.7 deg, intensity 21
50.3 deg, intensity 50
62.9 deg, intensity 23
64.7 deg, intensity 54

Crystal structure
a = 4.9512 Å, b = 4.9512 Å, c = 7.0256 Å
α = 90.00°, β = 90.00°, γ = 146.53°
Positions (direct):
1 Mg 0.2391 0.7609 0.7500
2 Mg 0.7609 0.2391 0.2500
3 Ge 0.5000 0.5000 0.0000
4 Ge 0.5000 0.5000 0.5000
5 O 0.1313 0.8687 0.0595
6 O 0.1313 0.8687 0.4405
7 O 0.4159 0.5841 0.2500
8 O 0.5841 0.4159 0.7500
9 O 0.8687 0.1313 0.5595
10 O 0.8687 0.1313 0.9405